No. 1
Structure and computed powder diffraction line list of Tb6Pm3Tm2 (the GGA-PBE geometry in Alexandria; Cu Ka).
No peak broadening, texture or thermal motion is included.

Structural model:
abc: 4.7564 4.7564 33.2200
angles: 90.00 90.00 90.00
Space group I4/mmm (No. 139)
Inequivalent atoms, fractional coordinates:
Tb 0.0000 0.0000 0.1945 x4
Tb 0.0000 0.5000 0.1199 x8
Pm 0.0000 0.0000 0.2983 x4
Pm 0.0000 0.0000 0.5000 x2
Tm 0.0000 0.0000 0.0459 x4

Principal peaks in the range 2θ from 5° to 70°, low angle first:
| hkl | 2theta | I_rel |
| --- | --- | --- |
| 1 1 4 | 28.64 | 100 |
| 1 1 8 | 34.31 | 80 |
| 2 0 0 | 37.83 | 63 |
| 2 0 12 | 50.60 | 25 |
| 2 2 0 | 54.58 | 23 |
| 3 1 8 | 66.07 | 24 |

No. 2
Structure and computed powder diffraction line list of Tb2Pm8Tm (the GGA-PBE geometry in Alexandria; Cu Ka).
No peak broadening, texture or thermal motion is included.

Structural model:
abc: 18.4338 5.1182 8.0930
angles: 90.00 105.25 90.00
Space group C2/m (No. 12)
Inequivalent atoms, fractional coordinates:
Tb 0.2268 0.0000 0.1352 x4
Pm 0.0460 0.0000 0.2287 x4
Pm 0.0911 0.5000 0.9524 x4
Pm 0.1365 0.0000 0.6830 x4
Pm 0.1816 0.5000 0.4102 x4
Tm 0.0000 0.5000 0.5000 x2

Principal peaks in the range 2θ from 5° to 70°, low angle first:
| hkl | 2theta | I_rel |
| --- | --- | --- |
| 1 1 2 | 30.24 | 99 |
| 5 1 -1 | 30.27 | 99 |
| 6 0 1 | 35.08 | 100 |
| 6 2 1 | 50.45 | 71 |
| 11 1 0 | 59.96 | 85 |
| 2 2 4 | 62.93 | 25 |

No. 3
Structure and computed powder diffraction line list of Tb4PmTm5 (the GGA-PBE geometry in Alexandria; Cu Ka).
No peak broadening, texture or thermal motion is included.

Structural model:
abc: 3.5356 6.6519 14.0134
angles: 98.36 92.86 104.10
Space group P-1 (No. 2)
Inequivalent atoms, fractional coordinates:
Tb 0.1206 0.3107 0.2185 x2
Tb 0.1836 0.2243 0.8043 x2
Pm 0.0000 0.5000 0.0000 x1
Tm 0.2039 0.3798 0.5828 x2
Tm 0.4877 0.9259 0.6118 x2
Tm 0.5000 0.0000 0.0000 x1

Principal peaks in the range 2θ from 5° to 70°, low angle first:
| hkl | 2theta | I_rel |
| --- | --- | --- |
| -1 1 2 | 29.34 | 25 |
| 0 2 -3 | 31.46 | 49 |
| 0 0 5 | 32.42 | 36 |
| 0 2 2 | 32.81 | 100 |
| 1 -2 0 | 33.25 | 12 |
| 1 1 5 | 50.15 | 12 |